1.
# Li2AlZn3Au2
Computed powder diffraction line list, Cu Kα (weighted mean of Kα1 and Kα2). Input: the PBE geometry in OQMD.

Unit cell a=4.3909 b=4.3909 c=6.2170 alpha=90.00 beta=90.00 gamma=90.00
Element x y z (fractional)
Li1 0.0000 0.5000 0.2401
Li2 0.5000 0.0000 0.7599
Al1 0.0000 0.0000 0.5000
Zn1 0.0000 0.0000 0.0000
Zn2 0.5000 0.5000 0.0000
Zn3 0.5000 0.5000 0.5000
Au1 0.0000 0.5000 0.7435
Au2 0.5000 0.0000 0.2565

Main lines, by angle (2θ = 10–90°):
24.8 deg, I 88
28.7 deg, I 8
41.1 deg, I 100
48.6 deg, I 45
59.5 deg, I 17
65.5 deg, I 18
74.9 deg, I 33
80.3 deg, I 7
80.3 deg, I 7
89.2 deg, I 11


2.
# Cd2SnCl8
Computed powder diffraction line list, Cu Kα (weighted mean of Kα1 and Kα2). Input: the PBE geometry in OQMD.

Unit cell a=9.5397 b=9.5397 c=9.5397 alpha=142.83 beta=142.83 gamma=53.57
Element x y z (fractional)
Cd1 0.2385 0.2385 0.0000
Cd2 0.7615 0.7615 0.0000
Sn1 0.0000 0.0000 0.0000
Cl1 0.0915 0.0872 0.5270
Cl2 0.1568 0.6950 0.9927
Cl3 0.3050 0.2977 0.4618
Cl4 0.4354 0.9085 0.9957
Cl5 0.5603 0.5646 0.4730
Cl6 0.7023 0.1641 0.0073
Cl7 0.8359 0.8432 0.5382
Cl8 0.9128 0.4397 0.0043

Main lines, by angle (2θ = 10–90°):
15.5 deg, I 53
20.7 deg, I 78
20.9 deg, I 20
29.5 deg, I 100
36.3 deg, I 51
42.0 deg, I 37
42.5 deg, I 19
47.3 deg, I 27
52.2 deg, I 36
52.5 deg, I 35


3.
# La3Pd4
Computed powder diffraction line list, Cu Kα (weighted mean of Kα1 and Kα2). Input: the PBE geometry in OQMD.

Unit cell a=8.2559 b=8.2559 c=8.2559 alpha=114.52 beta=114.52 gamma=114.52
Element x y z (fractional)
La1 0.0277 0.4053 0.2799
La2 0.2799 0.0277 0.4053
La3 0.4053 0.2799 0.0277
La4 0.5947 0.7201 0.9723
La5 0.7201 0.9723 0.5947
La6 0.9723 0.5947 0.7201
Pd1 0.0000 0.0000 0.0000
Pd2 0.0580 0.2214 0.5539
Pd3 0.2214 0.5539 0.0580
Pd4 0.4461 0.9420 0.7786
Pd5 0.5000 0.5000 0.5000
Pd6 0.5539 0.0580 0.2214
Pd7 0.7786 0.4461 0.9420
Pd8 0.9420 0.7786 0.4461

Main lines, by angle (2θ = 10–90°):
30.8 deg, I 36
31.3 deg, I 12
34.2 deg, I 100
35.9 deg, I 17
36.3 deg, I 70
40.9 deg, I 19
48.6 deg, I 12
50.7 deg, I 15
62.3 deg, I 12
77.1 deg, I 11


4.
# Bi2PdO4
Computed powder diffraction line list, Cu Kα (weighted mean of Kα1 and Kα2). Input: the PBE geometry in OQMD.

Unit cell a=8.5277 b=8.5277 c=5.9747 alpha=90.00 beta=90.00 gamma=90.00
Element x y z (fractional)
Bi1 0.0822 0.5822 0.2500
Bi2 0.0822 0.9178 0.7500
Bi3 0.4178 0.5822 0.7500
Bi4 0.4178 0.9178 0.2500
Bi5 0.5822 0.0822 0.7500
Bi6 0.5822 0.4178 0.2500
Bi7 0.9178 0.0822 0.2500
Bi8 0.9178 0.4178 0.7500
Pd1 0.2500 0.2500 0.0829
Pd2 0.2500 0.2500 0.5829
Pd3 0.7500 0.7500 0.4171
Pd4 0.7500 0.7500 0.9171
O1 0.0341 0.1472 0.5929
O2 0.0341 0.3528 0.0929
O3 0.1472 0.0341 0.0929
O4 0.1472 0.4659 0.5929
O5 0.3528 0.0341 0.5929
O6 0.3528 0.4659 0.0929
O7 0.4659 0.1472 0.0929
O8 0.4659 0.3528 0.5929
O9 0.5341 0.6472 0.4071
O10 0.5341 0.8528 0.9071
O11 0.6472 0.5341 0.9071
O12 0.6472 0.9659 0.4071
O13 0.8528 0.5341 0.4071
O14 0.8528 0.9659 0.9071
O15 0.9659 0.6472 0.9071
O16 0.9659 0.8528 0.4071

Main lines, by angle (2θ = 10–90°):
27.8 deg, I 100
29.6 deg, I 10
29.9 deg, I 13
33.2 deg, I 31
36.7 deg, I 19
46.5 deg, I 32
51.8 deg, I 23
55.1 deg, I 20
60.5 deg, I 13
65.0 deg, I 9


5.
# Sc3Ga6Fe2
Computed powder diffraction line list, Cu Kα (weighted mean of Kα1 and Kα2). Input: the PBE geometry in OQMD.

Unit cell a=8.1153 b=8.4058 c=10.3959 alpha=90.00 beta=90.00 gamma=90.00
Element x y z (fractional)
Sc1 0.0399 0.2500 0.0641
Sc2 0.0672 0.5525 0.6397
Sc3 0.0672 0.9475 0.6397
Sc4 0.4328 0.0525 0.1397
Sc5 0.4328 0.4475 0.1397
Sc6 0.4601 0.7500 0.5641
Sc7 0.5399 0.2500 0.4359
Sc8 0.5672 0.5525 0.8603
Sc9 0.5672 0.9475 0.8603
Sc10 0.9328 0.0525 0.3603
Sc11 0.9328 0.4475 0.3603
Sc12 0.9601 0.7500 0.9359
Ga1 0.0982 0.7500 0.4090
Ga2 0.1159 0.5885 0.1564
Ga3 0.1159 0.9115 0.1564
Ga4 0.2042 0.0059 0.9128
Ga5 0.2042 0.4941 0.9128
Ga6 0.2205 0.2500 0.2842
Ga7 0.2795 0.7500 0.7842
Ga8 0.2958 0.5059 0.4128
Ga9 0.2958 0.9941 0.4128
Ga10 0.3841 0.0885 0.6564
Ga11 0.3841 0.4115 0.6564
Ga12 0.4018 0.2500 0.9090
Ga13 0.5982 0.7500 0.0910
Ga14 0.6159 0.5885 0.3436
Ga15 0.6159 0.9115 0.3436
Ga16 0.7042 0.0059 0.5872
Ga17 0.7042 0.4941 0.5872
Ga18 0.7205 0.2500 0.2158
Ga19 0.7795 0.7500 0.7158
Ga20 0.7958 0.5059 0.0872
Ga21 0.7958 0.9941 0.0872
Ga22 0.8841 0.0885 0.8436
Ga23 0.8841 0.4115 0.8436
Ga24 0.9018 0.2500 0.5910
Fe1 0.1371 0.2500 0.7637
Fe2 0.1822 0.2500 0.5223
Fe3 0.3178 0.7500 0.0223
Fe4 0.3629 0.7500 0.2637
Fe5 0.6371 0.2500 0.7363
Fe6 0.6822 0.2500 0.9777
Fe7 0.8178 0.7500 0.4777
Fe8 0.8629 0.7500 0.2363

Main lines, by angle (2θ = 10–90°):
37.5 deg, I 53
38.1 deg, I 100
39.1 deg, I 59
40.4 deg, I 53
40.6 deg, I 74
40.8 deg, I 58
42.4 deg, I 79
42.7 deg, I 59
43.4 deg, I 55
46.9 deg, I 52


6.
# DyAl4InIr
Computed powder diffraction line list, Cu Kα (weighted mean of Kα1 and Kα2). Input: the PBE geometry in OQMD.

Unit cell a=4.3716 b=4.3716 c=7.0158 alpha=90.00 beta=90.00 gamma=90.00
Element x y z (fractional)
Dy1 0.0000 0.0000 0.0000
Al1 0.0000 0.5000 0.3105
Al2 0.0000 0.5000 0.6895
Al3 0.5000 0.0000 0.3105
Al4 0.5000 0.0000 0.6895
In1 0.5000 0.5000 0.0000
Ir1 0.0000 0.0000 0.5000

Main lines, by angle (2θ = 10–90°):
20.3 deg, I 47
24.0 deg, I 25
25.4 deg, I 38
28.9 deg, I 47
32.7 deg, I 29
38.8 deg, I 100
41.3 deg, I 47
49.1 deg, I 26
60.7 deg, I 19
73.7 deg, I 30


7.
# Tb2Co2SiGeC
Computed powder diffraction line list, Cu Kα (weighted mean of Kα1 and Kα2). Input: the PBE geometry in OQMD.

Unit cell a=5.6835 b=5.6835 c=6.8487 alpha=126.22 beta=126.22 gamma=40.29
Element x y z (fractional)
Tb1 0.0000 0.0000 0.0000
Tb2 0.1222 0.1222 0.5902
Co1 0.3702 0.3702 0.2206
Co2 0.7591 0.7591 0.3862
Si1 0.3968 0.3968 0.5851
Ge1 0.7194 0.7194 0.9971
C1 0.5634 0.5634 0.2991

Main lines, by angle (2θ = 10–90°):
25.2 deg, I 44
34.0 deg, I 39
34.2 deg, I 88
35.2 deg, I 36
36.4 deg, I 100
36.6 deg, I 33
39.9 deg, I 42
41.2 deg, I 30
46.4 deg, I 38
51.5 deg, I 27


8.
# ZrCo2P
Computed powder diffraction line list, Cu Kα (weighted mean of Kα1 and Kα2). Input: the PBE geometry in OQMD.

Unit cell a=3.7999 b=5.0930 c=5.4725 alpha=90.00 beta=90.00 gamma=90.00
Element x y z (fractional)
Zr1 0.2500 0.2500 0.1038
Zr2 0.7500 0.7500 0.8962
Co1 0.2500 0.0107 0.6393
Co2 0.2500 0.4893 0.6393
Co3 0.7500 0.5107 0.3607
Co4 0.7500 0.9893 0.3607
P1 0.2500 0.7500 0.2956
P2 0.7500 0.2500 0.7044

Main lines, by angle (2θ = 10–90°):
29.3 deg, I 27
33.7 deg, I 46
37.3 deg, I 38
39.0 deg, I 53
40.6 deg, I 86
46.0 deg, I 100
47.9 deg, I 42
62.2 deg, I 28
63.4 deg, I 23
87.9 deg, I 22


9.
# LaGdGa4Pt2
Computed powder diffraction line list, Cu Kα (weighted mean of Kα1 and Kα2). Input: the PBE geometry in OQMD.

Unit cell a=6.7740 b=5.6619 c=5.6619 alpha=46.53 beta=90.00 gamma=90.00
Element x y z (fractional)
La1 0.0000 0.0000 0.0000
Gd1 0.5000 0.8299 0.8299
Ga1 0.1991 0.2845 0.2845
Ga2 0.3089 0.5503 0.5503
Ga3 0.6911 0.5503 0.5503
Ga4 0.8009 0.2845 0.2845
Pt1 0.0000 0.7131 0.7131
Pt2 0.5000 0.1195 0.1195

Main lines, by angle (2θ = 10–90°):
17.0 deg, I 18
26.3 deg, I 30
34.3 deg, I 81
35.3 deg, I 100
37.0 deg, I 48
40.3 deg, I 46
42.4 deg, I 41
45.9 deg, I 23
55.9 deg, I 29
78.8 deg, I 19


10.
# Zr4CdP6O24
Computed powder diffraction line list, Cu Kα (weighted mean of Kα1 and Kα2). Input: the PBE geometry in OQMD.

Unit cell a=8.9776 b=8.9776 c=8.9776 alpha=59.27 beta=59.27 gamma=59.27
Element x y z (fractional)
Zr1 0.1354 0.1354 0.1354
Zr2 0.3525 0.3525 0.3525
Zr3 0.6475 0.6475 0.6475
Zr4 0.8646 0.8646 0.8646
Cd1 0.5000 0.5000 0.5000
P1 0.0475 0.4677 0.7438
P2 0.2562 0.9525 0.5323
P3 0.4677 0.7438 0.0475
P4 0.5323 0.2562 0.9525
P5 0.7438 0.0475 0.4677
P6 0.9525 0.5323 0.2562
O1 0.0094 0.6270 0.7914
O2 0.0597 0.2860 0.9046
O3 0.0954 0.9403 0.7140
O4 0.1045 0.4920 0.3186
O5 0.2086 0.9906 0.3730
O6 0.2346 0.4447 0.5826
O7 0.2860 0.9046 0.0597
O8 0.3186 0.1045 0.4920
O9 0.3730 0.2086 0.9906
O10 0.4174 0.7654 0.5553
O11 0.4447 0.5826 0.2346
O12 0.4920 0.3186 0.1045
O13 0.5080 0.6814 0.8955
O14 0.5553 0.4174 0.7654
O15 0.5826 0.2346 0.4447
O16 0.6270 0.7914 0.0094
O17 0.6814 0.8955 0.5080
O18 0.7140 0.0954 0.9403
O19 0.7654 0.5553 0.4174
O20 0.7914 0.0094 0.6270
O21 0.8955 0.5080 0.6814
O22 0.9046 0.0597 0.2860
O23 0.9403 0.7140 0.0954
O24 0.9906 0.3730 0.2086

Main lines, by angle (2θ = 10–90°):
12.2 deg, I 25
19.8 deg, I 33
20.0 deg, I 100
23.4 deg, I 70
28.3 deg, I 23
31.6 deg, I 61
35.0 deg, I 38
45.3 deg, I 30
47.8 deg, I 22
54.7 deg, I 33


11.
# Sr3ErN3
Computed powder diffraction line list, Cu Kα (weighted mean of Kα1 and Kα2). Input: the PBE geometry in OQMD.

Unit cell a=8.0424 b=8.0424 c=5.3699 alpha=90.00 beta=90.00 gamma=120.00
Element x y z (fractional)
Sr1 0.0681 0.3321 0.2500
Sr2 0.2640 0.9319 0.2500
Sr3 0.3321 0.2640 0.7500
Sr4 0.6679 0.7360 0.2500
Sr5 0.7360 0.0681 0.7500
Sr6 0.9319 0.6679 0.7500
Er1 0.3333 0.6667 0.7500
Er2 0.6667 0.3333 0.2500
N1 0.0816 0.3746 0.7500
N2 0.2930 0.9184 0.7500
N3 0.3746 0.2930 0.2500
N4 0.6254 0.7070 0.7500
N5 0.7070 0.0816 0.2500
N6 0.9184 0.6254 0.2500

Main lines, by angle (2θ = 10–90°):
20.9 deg, I 46
25.6 deg, I 33
27.7 deg, I 49
30.6 deg, I 100
33.4 deg, I 47
34.1 deg, I 23
38.1 deg, I 33
38.8 deg, I 43
52.1 deg, I 36
60.4 deg, I 29


12.
# NaTeAu
Computed powder diffraction line list, Cu Kα (weighted mean of Kα1 and Kα2). Input: the PBE geometry in OQMD.

Unit cell a=4.7171 b=4.7171 c=7.9337 alpha=90.00 beta=90.00 gamma=120.00
Element x y z (fractional)
Na1 0.0000 0.0000 0.0000
Na2 0.0000 0.0000 0.5000
Te1 0.3333 0.6667 0.2318
Te2 0.6667 0.3333 0.7318
Au1 0.3333 0.6667 0.7948
Au2 0.6667 0.3333 0.2948

Main lines, by angle (2θ = 10–90°):
21.8 deg, I 64
22.4 deg, I 81
24.5 deg, I 35
31.4 deg, I 84
38.2 deg, I 100
40.6 deg, I 38
44.7 deg, I 81
50.2 deg, I 23
61.0 deg, I 27
62.8 deg, I 22